(1)
Starting from a structure optimized by DFT (PBE), the PXRD pattern of KAg2Sb2 was simulated for λ = 1.5418 Å (Cu Kα).

Atomic structure:
a = 4.861 Å, b = 4.861 Å, c = 11.722 Å
α = 90.00°, β = 90.00°, γ = 89.33°
Fractional coordinates of all 10 atoms:
K: 0.237 0.763 0.750
K: 0.763 0.237 0.250
Ag: 0.227 0.227 0.000
Ag: 0.227 0.227 0.500
Ag: 0.773 0.773 0.000
Ag: 0.773 0.773 0.500
Sb: 0.272 0.728 0.127
Sb: 0.272 0.728 0.373
Sb: 0.728 0.272 0.627
Sb: 0.728 0.272 0.873

Most intense lines, 5 to 70 degrees two-theta, low angle first:
2theta	d/Å	intensity
15.12	5.861	59
19.77	4.490	70
29.33	3.046	65
30.01	2.978	52
30.27	2.952	54
36.99	2.430	100
40.17	2.245	19
40.34	2.236	57
40.55	2.225	57
42.82	2.112	27

(2)
Starting from a structure optimized by DFT (PBE), the PXRD pattern of Rb2TmCrS4 was simulated for λ = 1.5418 Å (Cu Kα).

Atomic structure:
a = 6.898 Å, b = 6.898 Å, c = 6.898 Å
α = 115.61°, β = 115.61°, γ = 97.79°
Fractional coordinates of all 8 atoms:
Rb: 0.000 0.000 0.000
Rb: 0.750 0.250 0.500
Tm: 0.500 0.500 0.000
Cr: 0.250 0.750 0.500
S: 0.208 0.621 0.112
S: 0.379 0.491 0.587
S: 0.509 0.096 0.888
S: 0.904 0.792 0.413

Most intense lines, 5 to 70 degrees two-theta, low angle first:
2theta	d/Å	intensity
15.52	5.710	21
24.22	3.675	33
26.08	3.417	100
28.89	3.090	10
34.51	2.599	27
43.77	2.068	45
47.09	1.930	26
55.95	1.644	12
56.90	1.618	11
68.28	1.374	12

(3)
Starting from a structure optimized by DFT (PBE), the PXRD pattern of RbFeAsSe was simulated for λ = 1.5418 Å (Cu Kα).

Atomic structure:
a = 7.275 Å, b = 7.275 Å, c = 3.890 Å
α = 105.45°, β = 105.45°, γ = 135.06°
Fractional coordinates of all 4 atoms:
Rb: 0.000 0.000 0.000
Fe: 0.244 0.756 0.500
As: 0.327 0.673 0.000
Se: 0.663 0.337 0.000

Most intense lines, 5 to 70 degrees two-theta, low angle first:
2theta	d/Å	intensity
13.17	6.723	18
30.00	2.979	99
30.43	2.938	100
32.09	2.789	23
32.21	2.780	23
45.50	1.994	23
46.70	1.945	21
52.41	1.746	59
55.65	1.652	17
55.80	1.648	17

(4)
Starting from a structure optimized by DFT (PBE), the PXRD pattern of CaPmFe4 was simulated for λ = 1.5418 Å (Cu Kα).

Atomic structure:
a = 5.209 Å, b = 5.209 Å, c = 5.209 Å
α = 60.00°, β = 60.00°, γ = 60.00°
Fractional coordinates of all 6 atoms:
Ca: 0.000 0.000 0.000
Pm: 0.750 0.750 0.750
Fe: 0.375 0.375 0.375
Fe: 0.375 0.375 0.875
Fe: 0.375 0.875 0.375
Fe: 0.875 0.375 0.375

Most intense lines, 5 to 70 degrees two-theta, low angle first:
2theta	d/Å	intensity
20.89	4.253	15
24.16	3.683	15
34.44	2.604	41
40.62	2.221	100
42.51	2.126	28
54.28	1.690	4
55.82	1.647	7
61.69	1.504	15
65.89	1.418	30